This entry pairs a crystal structure of RbSe with its theoretical powder XRD pattern. Radiation: Cu Kα. Structure: a GGA-PBE-relaxed structure.
Neutral-atom scattering factors, no anomalous dispersion.

Structure:
```
RbSe
1.0
9.4255 0.0000 0.0000
-4.7128 8.1627 0.0000
0.0000 0.0000 6.2988
Rb Se
6 6
Direct
0.0000 0.3520 0.0000 Rb
0.0000 0.6867 0.5000 Rb
0.3133 0.3133 0.5000 Rb
0.3520 0.0000 0.0000 Rb
0.6480 0.6480 0.0000 Rb
0.6867 0.0000 0.5000 Rb
0.0000 0.0000 0.1929 Se
0.0000 0.0000 0.8071 Se
0.3333 0.6667 0.3059 Se
0.3333 0.6667 0.6941 Se
0.6667 0.3333 0.3059 Se
0.6667 0.3333 0.6941 Se
```

Main lines, by angle (10 to 90 degrees two-theta):
2θ 18.8, I = 22
2θ 23.6, I = 100
2θ 32.9, I = 100
2θ 34.2, I = 72
2θ 40.9, I = 23
2θ 47.4, I = 16
2θ 48.2, I = 26
2θ 53.5, I = 17
2θ 58.8, I = 17
2θ 59.6, I = 26